[1]
# Pm12PrTl6
Computed powder diffractogram, copper Kα. Input: the PBE geometry in Alexandria.
No peak broadening, texture or thermal motion is included.

Main lines, in order of rising 2θ (10° ≤ 2θ ≤ 90°):
- 12.6°, d = 7.006 Å, rel. 40
- 26.5°, d = 3.370 Å, rel. 51
- 27.6°, d = 3.231 Å, rel. 100
- 30.8°, d = 2.907 Å, rel. 38
- 32.1°, d = 2.786 Å, rel. 43
- 33.1°, d = 2.706 Å, rel. 47
- 33.4°, d = 2.685 Å, rel. 82
- 34.4°, d = 2.604 Å, rel. 80
- 40.3°, d = 2.237 Å, rel. 64
- 42.4°, d = 2.131 Å, rel. 37

Atomic structure:
Unit cell a=8.9563 b=8.9563 c=8.9563 alpha=102.93 beta=102.93 gamma=102.93
Fractional coordinates of all 19 atoms:
1 Pm 0.0000 0.3886 0.6114
2 Pm 0.0000 0.6114 0.3886
3 Pm 0.0660 0.0660 0.3290
4 Pm 0.0660 0.3290 0.0660
5 Pm 0.3290 0.0660 0.0660
6 Pm 0.3886 0.0000 0.6114
7 Pm 0.3886 0.6114 0.0000
8 Pm 0.6114 0.0000 0.3886
9 Pm 0.6114 0.3886 0.0000
10 Pm 0.6710 0.9340 0.9340
11 Pm 0.9340 0.6710 0.9340
12 Pm 0.9340 0.9340 0.6710
13 Pr 0.5000 0.5000 0.5000
14 Tl 0.2188 0.7543 0.7543
15 Tl 0.2457 0.2457 0.7812
16 Tl 0.2457 0.7812 0.2457
17 Tl 0.7543 0.2188 0.7543
18 Tl 0.7543 0.7543 0.2188
19 Tl 0.7812 0.2457 0.2457

[2]
# Pm2Pr3Tl
Computed powder diffractogram, copper Kα. Input: the PBE geometry in Alexandria.
No peak broadening, texture or thermal motion is included.

Main lines, in order of rising 2θ (10° ≤ 2θ ≤ 90°):
- 30.4°, d = 2.939 Å, rel. 100
- 34.3°, d = 2.616 Å, rel. 18
- 35.7°, d = 2.517 Å, rel. 16
- 35.8°, d = 2.508 Å, rel. 16
- 50.3°, d = 1.814 Å, rel. 12
- 50.4°, d = 1.810 Å, rel. 12
- 59.0°, d = 1.566 Å, rel. 15
- 60.8°, d = 1.522 Å, rel. 14
- 61.0°, d = 1.518 Å, rel. 14
- 63.3°, d = 1.470 Å, rel. 12

Atomic structure:
Unit cell a=5.0336 b=15.6968 c=5.0152 alpha=90.00 beta=90.00 gamma=90.00
Fractional coordinates of all 12 atoms:
1 Pm 0.0000 0.1628 0.0000
2 Pm 0.0000 0.8372 0.0000
3 Pm 0.5000 0.3372 0.0000
4 Pm 0.5000 0.6628 0.0000
5 Pr 0.0000 0.0000 0.5000
6 Pr 0.0000 0.3347 0.5000
7 Pr 0.0000 0.6653 0.5000
8 Pr 0.5000 0.1653 0.5000
9 Pr 0.5000 0.5000 0.5000
10 Pr 0.5000 0.8347 0.5000
11 Tl 0.0000 0.5000 0.0000
12 Tl 0.5000 0.0000 0.0000

[3]
# Pm6PrTl4
Computed powder diffractogram, copper Kα. Input: the PBE geometry in Alexandria.
No peak broadening, texture or thermal motion is included.

Main lines, in order of rising 2θ (10° ≤ 2θ ≤ 90°):
- 13.3°, d = 6.648 Å, rel. 40
- 26.0°, d = 3.426 Å, rel. 36
- 26.8°, d = 3.324 Å, rel. 34
- 31.6°, d = 2.827 Å, rel. 32
- 33.7°, d = 2.662 Å, rel. 100
- 33.9°, d = 2.643 Å, rel. 60
- 34.5°, d = 2.602 Å, rel. 58
- 35.5°, d = 2.529 Å, rel. 32
- 44.1°, d = 2.054 Å, rel. 31
- 52.5°, d = 1.744 Å, rel. 39

Atomic structure:
Unit cell a=8.2294 b=8.2294 c=8.2294 alpha=121.86 beta=121.86 gamma=86.81
Fractional coordinates of all 11 atoms:
1 Pm 0.0000 0.5000 0.5000
2 Pm 0.0291 0.0291 0.6270
3 Pm 0.4021 0.4021 0.3730
4 Pm 0.5000 0.0000 0.5000
5 Pm 0.5979 0.9709 0.0000
6 Pm 0.9709 0.5979 0.0000
7 Pr 0.5000 0.5000 0.0000
8 Tl 0.0990 0.0990 0.3349
9 Tl 0.2359 0.9010 0.0000
10 Tl 0.7641 0.7641 0.6651
11 Tl 0.9010 0.2359 0.0000

[4]
# Pm6PrTl
Computed powder diffractogram, copper Kα. Input: the PBE geometry in Alexandria.
No peak broadening, texture or thermal motion is included.

Main lines, in order of rising 2θ (10° ≤ 2θ ≤ 90°):
- 30.5°, d = 2.932 Å, rel. 100
- 34.5°, d = 2.602 Å, rel. 18
- 35.8°, d = 2.510 Å, rel. 33
- 50.5°, d = 1.806 Å, rel. 24
- 51.5°, d = 1.775 Å, rel. 12
- 59.3°, d = 1.558 Å, rel. 15
- 61.0°, d = 1.518 Å, rel. 28
- 63.4°, d = 1.466 Å, rel. 12
- 82.3°, d = 1.171 Å, rel. 12
- 83.9°, d = 1.154 Å, rel. 6

Atomic structure:
Unit cell a=5.0201 b=5.0201 c=10.4063 alpha=90.00 beta=90.00 gamma=90.00
Fractional coordinates of all 8 atoms:
1 Pm 0.0000 0.0000 0.0000
2 Pm 0.0000 0.0000 0.5000
3 Pm 0.0000 0.5000 0.2417
4 Pm 0.0000 0.5000 0.7583
5 Pm 0.5000 0.0000 0.2417
6 Pm 0.5000 0.0000 0.7583
7 Pr 0.5000 0.5000 0.5000
8 Tl 0.5000 0.5000 0.0000

[5]
# Pm8Pr3Tl
Computed powder diffractogram, copper Kα. Input: the PBE geometry in Alexandria.
No peak broadening, texture or thermal motion is included.

Main lines, in order of rising 2θ (10° ≤ 2θ ≤ 90°):
- 14.3°, d = 6.213 Å, rel. 32
- 23.9°, d = 3.721 Å, rel. 59
- 25.5°, d = 3.498 Å, rel. 37
- 28.7°, d = 3.107 Å, rel. 76
- 30.9°, d = 2.890 Å, rel. 67
- 32.7°, d = 2.737 Å, rel. 30
- 35.9°, d = 2.504 Å, rel. 100
- 42.7°, d = 2.116 Å, rel. 50
- 44.1°, d = 2.053 Å, rel. 49
- 68.6°, d = 1.368 Å, rel. 30

Atomic structure:
Unit cell a=8.4865 b=8.4865 c=8.4865 alpha=117.64 beta=117.64 gamma=94.13
Fractional coordinates of all 12 atoms:
1 Pm 0.1257 0.1257 0.7473
2 Pm 0.2390 0.7343 0.0000
3 Pm 0.2657 0.2657 0.5047
4 Pm 0.3784 0.3784 0.2527
5 Pm 0.6216 0.8743 0.0000
6 Pm 0.7343 0.2390 0.0000
7 Pm 0.7610 0.7610 0.4953
8 Pm 0.8743 0.6216 0.0000
9 Pr 0.2500 0.7500 0.5000
10 Pr 0.5000 0.5000 0.0000
11 Pr 0.7500 0.2500 0.5000
12 Tl 0.0000 0.0000 0.0000

[6]
# Pm5Pr2Tl
Computed powder diffractogram, copper Kα. Input: the PBE geometry in Alexandria.
No peak broadening, texture or thermal motion is included.

Main lines, in order of rising 2θ (10° ≤ 2θ ≤ 90°):
- 30.4°, d = 2.937 Å, rel. 100
- 35.3°, d = 2.543 Å, rel. 51
- 50.8°, d = 1.798 Å, rel. 36
- 60.4°, d = 1.534 Å, rel. 43
- 63.3°, d = 1.468 Å, rel. 12
- 74.6°, d = 1.272 Å, rel. 4
- 74.7°, d = 1.270 Å, rel. 2
- 82.7°, d = 1.167 Å, rel. 18
- 85.3°, d = 1.138 Å, rel. 11
- 85.4°, d = 1.136 Å, rel. 6

Atomic structure:
Unit cell a=7.1979 b=7.1907 c=7.1916 alpha=60.06 beta=59.96 gamma=59.97
Fractional coordinates of all 8 atoms:
1 Pm 0.0000 0.0000 0.0000
2 Pm 0.0000 0.0000 0.5000
3 Pm 0.0009 0.4999 0.5001
4 Pm 0.4999 0.0009 0.9991
5 Pm 0.5000 0.5000 0.0000
6 Pr 0.5004 0.9991 0.4996
7 Pr 0.9991 0.5004 0.0009
8 Tl 0.4999 0.4999 0.5001

[7]
# PmPr6Tl6
Computed powder diffractogram, copper Kα. Input: the PBE geometry in Alexandria.
No peak broadening, texture or thermal motion is included.

Main lines, in order of rising 2θ (10° ≤ 2θ ≤ 90°):
- 15.9°, d = 5.561 Å, rel. 20
- 31.5°, d = 2.840 Å, rel. 57
- 31.7°, d = 2.825 Å, rel. 59
- 32.2°, d = 2.780 Å, rel. 31
- 35.5°, d = 2.529 Å, rel. 100
- 36.0°, d = 2.497 Å, rel. 20
- 45.7°, d = 1.987 Å, rel. 19
- 56.1°, d = 1.640 Å, rel. 30
- 57.1°, d = 1.614 Å, rel. 23
- 66.2°, d = 1.412 Å, rel. 24

Atomic structure:
Unit cell a=6.5586 b=6.5586 c=11.1217 alpha=90.00 beta=90.00 gamma=120.00
Fractional coordinates of all 13 atoms:
1 Pm 0.0000 0.0000 0.0000
2 Pr 0.0000 0.0000 0.3334
3 Pr 0.0000 0.0000 0.6666
4 Pr 0.3333 0.6667 0.0000
5 Pr 0.3333 0.6667 0.5000
6 Pr 0.6667 0.3333 0.0000
7 Pr 0.6667 0.3333 0.5000
8 Tl 0.0000 0.5000 0.2462
9 Tl 0.0000 0.5000 0.7538
10 Tl 0.5000 0.0000 0.2462
11 Tl 0.5000 0.0000 0.7538
12 Tl 0.5000 0.5000 0.2462
13 Tl 0.5000 0.5000 0.7538

[8]
# Pm3Pr5Tl2
Computed powder diffractogram, copper Kα. Input: the PBE geometry in Alexandria.
No peak broadening, texture or thermal motion is included.

Main lines, in order of rising 2θ (10° ≤ 2θ ≤ 90°):
- 19.5°, d = 4.545 Å, rel. 30
- 25.5°, d = 3.494 Å, rel. 52
- 28.8°, d = 3.097 Å, rel. 100
- 29.1°, d = 3.069 Å, rel. 96
- 34.6°, d = 2.592 Å, rel. 92
- 35.3°, d = 2.544 Å, rel. 33
- 35.5°, d = 2.529 Å, rel. 33
- 37.8°, d = 2.377 Å, rel. 98
- 52.0°, d = 1.757 Å, rel. 29
- 52.4°, d = 1.747 Å, rel. 51

Atomic structure:
Unit cell a=10.7649 b=10.7649 c=10.7649 alpha=103.18 beta=88.23 gamma=143.39
Fractional coordinates of all 20 atoms:
1 Pm 0.2386 0.1157 0.3543
2 Pm 0.2500 0.2500 0.0000
3 Pm 0.2614 0.6157 0.8771
4 Pm 0.7386 0.3843 0.1229
5 Pm 0.7500 0.7500 0.0000
6 Pm 0.7614 0.8843 0.6457
7 Pr 0.1612 0.3770 0.5383
8 Pr 0.2500 0.0002 0.7502
9 Pr 0.2500 0.4998 0.2498
10 Pr 0.2500 0.7500 0.5000
11 Pr 0.3388 0.8770 0.2158
12 Pr 0.6612 0.1230 0.7842
13 Pr 0.7500 0.9998 0.2498
14 Pr 0.7500 0.2500 0.5000
15 Pr 0.7500 0.5002 0.7502
16 Pr 0.8388 0.6230 0.4617
17 Tl 0.1447 0.8740 0.0187
18 Tl 0.3553 0.3740 0.7293
19 Tl 0.6447 0.6260 0.2707
20 Tl 0.8553 0.1260 0.9813